Entry 1:
For UFeSi, the PBE geometry in the Materials Project gives the calculated powder diffraction line list in this record (CuKα).
No peak broadening, texture or thermal motion is included.

Crystal structure
Cell lengths 7.259, 3.993, 6.390 Å; angles 90.00, 90.00, 90.00 degrees
Fractional positions:
U: 0.011 0.250 0.159
U: 0.489 0.750 0.659
U: 0.511 0.250 0.341
U: 0.989 0.750 0.841
Fe: 0.125 0.750 0.442
Fe: 0.375 0.250 0.942
Fe: 0.625 0.750 0.058
Fe: 0.875 0.250 0.558
Si: 0.198 0.250 0.616
Si: 0.302 0.750 0.116
Si: 0.698 0.250 0.884
Si: 0.802 0.750 0.384

Largest 12 diffraction maxima, in order of falling intensity, 10 to 80 degrees two-theta:
d 2.359, 2θ = 38.1°, I 100; d 2.476, 2θ = 36.3°, I 81; d 3.630, 2θ = 24.5°, I 53; d 3.386, 2θ = 26.3°, I 49; d 1.599, 2θ = 57.6°, I 37; d 2.044, 2θ = 44.3°, I 32; d 4.797, 2θ = 18.5°, I 27; d 1.996, 2θ = 45.4°, I 26; d 2.263, 2θ = 39.8°, I 23; d 1.428, 2θ = 65.3°, I 21; d 1.737, 2θ = 52.7°, I 16; d 1.248, 2θ = 76.3°, I 15


Entry 2:
For Al2Fe3Si3, the PBE geometry in the Materials Project gives the calculated powder diffraction line list in this record (CuKα).
No peak broadening, texture or thermal motion is included.

Crystal structure
Cell lengths 4.604, 6.328, 7.461 Å; angles 101.90, 106.78, 100.61 degrees
Fractional positions:
Al: 0.053 0.145 0.273
Al: 0.414 0.175 0.051
Al: 0.586 0.825 0.949
Al: 0.947 0.855 0.727
Fe: 0.040 0.792 0.416
Fe: 0.135 0.818 0.057
Fe: 0.365 0.528 0.233
Fe: 0.635 0.472 0.767
Fe: 0.865 0.182 0.943
Fe: 0.960 0.208 0.584
Si: 0.179 0.476 0.886
Si: 0.276 0.543 0.533
Si: 0.457 0.087 0.652
Si: 0.543 0.913 0.348
Si: 0.724 0.457 0.467
Si: 0.821 0.524 0.114

Largest 12 diffraction maxima, in order of falling intensity, 10 to 80 degrees two-theta:
d 1.994, 2θ = 45.5°, I 100; d 1.879, 2θ = 48.4°, I 51; d 2.112, 2θ = 42.8°, I 44; d 2.000, 2θ = 45.4°, I 42; d 1.965, 2θ = 46.2°, I 36; d 2.121, 2θ = 42.6°, I 34; d 1.982, 2θ = 45.8°, I 33; d 2.006, 2θ = 45.2°, I 32; d 1.837, 2θ = 49.6°, I 31; d 1.953, 2θ = 46.5°, I 30; d 3.269, 2θ = 27.3°, I 28; d 2.815, 2θ = 31.8°, I 27


Entry 3:
For CdSiO3, the PBE geometry in the Materials Project gives the calculated powder diffraction line list in this record (CuKα).
No peak broadening, texture or thermal motion is included.

Crystal structure
Cell lengths 3.620, 3.620, 3.620 Å; angles 90.00, 90.00, 90.00 degrees
Fractional positions:
Cd: 0.000 0.000 0.000
Si: 0.500 0.500 0.500
O: 0.000 0.500 0.500
O: 0.500 0.000 0.500
O: 0.500 0.500 0.000

Largest 8 diffraction maxima, in order of falling intensity, 10 to 80 degrees two-theta:
d 2.560, 2θ = 35.1°, I 100; d 2.090, 2θ = 43.3°, I 40; d 1.810, 2θ = 50.4°, I 37; d 1.478, 2θ = 62.9°, I 36; d 3.620, 2θ = 24.6°, I 35; d 1.280, 2θ = 74.1°, I 21; d 1.619, 2θ = 56.9°, I 15; d 1.207, 2θ = 79.4°, I 7


Entry 4:
For NaSrHfSbO6, the PBE geometry in the Materials Project gives the calculated powder diffraction line list in this record (CuKα).
No peak broadening, texture or thermal motion is included.

Crystal structure
Cell lengths 5.729, 5.729, 5.729 Å; angles 60.00, 60.00, 60.00 degrees
Fractional positions:
Na: 0.000 0.000 0.000
Sr: 0.500 0.500 0.500
Hf: 0.750 0.750 0.750
Sb: 0.250 0.250 0.250
O: 0.004 0.004 0.496
O: 0.004 0.496 0.004
O: 0.004 0.496 0.496
O: 0.496 0.004 0.004
O: 0.496 0.004 0.496
O: 0.496 0.496 0.004

Largest 12 diffraction maxima, in order of falling intensity, 10 to 80 degrees two-theta:
d 2.864, 2θ = 31.2°, I 100; d 4.051, 2θ = 21.9°, I 41; d 1.654, 2θ = 55.6°, I 40; d 2.025, 2θ = 44.7°, I 33; d 1.432, 2θ = 65.1°, I 20; d 1.281, 2θ = 74.0°, I 17; d 1.812, 2θ = 50.4°, I 17; d 4.678, 2θ = 19.0°, I 11; d 1.350, 2θ = 69.6°, I 8; d 2.443, 2θ = 36.8°, I 7; d 1.859, 2θ = 49.0°, I 3; d 1.559, 2θ = 59.3°, I 2


Entry 5:
For SbIr, the PBE geometry in the Materials Project gives the calculated powder diffraction line list in this record (CuKα).
No peak broadening, texture or thermal motion is included.

Crystal structure
Cell lengths 4.063, 4.063, 5.600 Å; angles 90.00, 90.00, 120.00 degrees
Fractional positions:
Sb: 0.333 0.667 0.250
Sb: 0.667 0.333 0.750
Ir: 0.000 0.000 0.000
Ir: 0.000 0.000 0.500

Largest 12 diffraction maxima, in order of falling intensity, 10 to 80 degrees two-theta:
d 2.191, 2θ = 41.2°, I 100; d 2.031, 2θ = 44.6°, I 61; d 3.518, 2θ = 25.3°, I 47; d 2.979, 2θ = 30.0°, I 42; d 1.490, 2θ = 62.3°, I 30; d 1.201, 2θ = 79.9°, I 30; d 1.678, 2θ = 54.7°, I 8; d 1.649, 2θ = 55.7°, I 7; d 1.759, 2θ = 52.0°, I 7; d 1.294, 2θ = 73.1°, I 6; d 1.400, 2θ = 66.8°, I 6; d 1.330, 2θ = 70.9°, I 6


Entry 6:
For Li4SnB2O6, the PBE geometry in the Materials Project gives the calculated powder diffraction line list in this record (CuKα).
No peak broadening, texture or thermal motion is included.

Crystal structure
Cell lengths 8.502, 9.463, 3.555 Å; angles 90.00, 90.00, 90.00 degrees
Fractional positions:
Li: 0.016 0.201 0.000
Li: 0.173 0.045 0.500
Li: 0.327 0.545 0.000
Li: 0.484 0.701 0.500
Li: 0.516 0.299 0.500
Li: 0.673 0.455 0.000
Li: 0.827 0.955 0.500
Li: 0.984 0.799 0.000
Sn: 0.000 0.500 0.500
Sn: 0.500 0.000 0.000
B: 0.227 0.788 0.500
B: 0.273 0.288 0.000
B: 0.727 0.712 0.000
B: 0.773 0.212 0.500
O: 0.077 0.845 0.500
O: 0.143 0.379 0.000
O: 0.240 0.143 0.000
O: 0.260 0.643 0.500
O: 0.357 0.879 0.500
O: 0.423 0.345 0.000
O: 0.577 0.655 0.000
O: 0.643 0.121 0.500
O: 0.740 0.357 0.500
O: 0.760 0.857 0.000
O: 0.857 0.621 0.000
O: 0.923 0.155 0.500

Largest 12 diffraction maxima, in order of falling intensity, 10 to 80 degrees two-theta:
d 6.324, 2θ = 14.0°, I 100; d 2.064, 2θ = 43.9°, I 32; d 2.696, 2θ = 33.2°, I 31; d 2.957, 2θ = 30.2°, I 30; d 3.280, 2θ = 27.2°, I 29; d 3.162, 2θ = 28.2°, I 25; d 2.621, 2θ = 34.2°, I 23; d 1.791, 2θ = 51.0°, I 19; d 3.099, 2θ = 28.8°, I 18; d 4.731, 2θ = 18.8°, I 15; d 2.359, 2θ = 38.1°, I 15; d 2.007, 2θ = 45.2°, I 15


Entry 7:
For BaMg2N2, the PBE geometry in the Materials Project gives the calculated powder diffraction line list in this record (CuKα).
No peak broadening, texture or thermal motion is included.

Crystal structure
Cell lengths 6.288, 6.288, 6.288 Å; angles 113.56, 113.56, 101.57 degrees
Fractional positions:
Ba: 0.250 0.250 0.000
Ba: 0.750 0.750 0.000
Mg: 0.129 0.629 0.758
Mg: 0.371 0.129 0.500
Mg: 0.629 0.871 0.500
Mg: 0.871 0.371 0.242
N: 0.167 0.333 0.500
N: 0.333 0.833 0.166
N: 0.667 0.167 0.834
N: 0.833 0.667 0.500

Largest 12 diffraction maxima, in order of falling intensity, 10 to 80 degrees two-theta:
d 3.080, 2θ = 29.0°, I 100; d 4.872, 2θ = 18.2°, I 56; d 2.603, 2θ = 34.4°, I 52; d 2.179, 2θ = 41.4°, I 41; d 3.445, 2θ = 25.9°, I 32; d 1.468, 2θ = 63.3°, I 23; d 2.077, 2θ = 43.6°, I 19; d 1.580, 2θ = 58.4°, I 19; d 2.436, 2θ = 36.9°, I 19; d 1.540, 2θ = 60.1°, I 18; d 1.911, 2θ = 47.6°, I 16; d 1.503, 2θ = 61.7°, I 14


Entry 8:
For CuPO3, the PBE geometry in the Materials Project gives the calculated powder diffraction line list in this record (CuKα).
No peak broadening, texture or thermal motion is included.

Crystal structure
Cell lengths 7.611, 5.572, 14.085 Å; angles 90.00, 118.04, 90.00 degrees
Fractional positions:
Cu: 0.228 0.124 0.014
Cu: 0.228 0.376 0.514
Cu: 0.253 0.640 0.853
Cu: 0.253 0.860 0.353
Cu: 0.747 0.140 0.647
Cu: 0.747 0.360 0.147
Cu: 0.772 0.624 0.486
Cu: 0.772 0.876 0.986
P: 0.294 0.624 0.106
P: 0.294 0.876 0.606
P: 0.299 0.145 0.792
P: 0.299 0.355 0.292
P: 0.701 0.645 0.708
P: 0.701 0.855 0.208
P: 0.706 0.124 0.394
P: 0.706 0.376 0.894
O: 0.148 0.680 0.546
O: 0.148 0.820 0.046
O: 0.156 0.161 0.284
O: 0.156 0.339 0.784
O: 0.209 0.016 0.676
O: 0.209 0.484 0.176
O: 0.339 0.057 0.540
O: 0.339 0.443 0.040
O: 0.351 0.541 0.379
O: 0.351 0.959 0.879
O: 0.498 0.739 0.199
O: 0.498 0.761 0.699
O: 0.502 0.239 0.301
O: 0.502 0.261 0.801
O: 0.649 0.041 0.121
O: 0.649 0.459 0.621
O: 0.661 0.557 0.960
O: 0.661 0.943 0.460
O: 0.791 0.516 0.824
O: 0.791 0.984 0.324
O: 0.844 0.661 0.216
O: 0.844 0.839 0.716
O: 0.852 0.180 0.954
O: 0.852 0.320 0.454

Largest 12 diffraction maxima, in order of falling intensity, 10 to 80 degrees two-theta:
d 3.359, 2θ = 26.5°, I 100; d 2.977, 2θ = 30.0°, I 76; d 3.521, 2θ = 25.3°, I 51; d 2.437, 2θ = 36.9°, I 41; d 3.325, 2θ = 26.8°, I 35; d 2.615, 2θ = 34.3°, I 27; d 1.647, 2θ = 55.8°, I 19; d 2.014, 2θ = 45.0°, I 17; d 2.236, 2θ = 40.3°, I 17; d 1.679, 2θ = 54.7°, I 16; d 2.220, 2θ = 40.6°, I 16; d 2.994, 2θ = 29.8°, I 14